1.
Ba2Ga4Ag3Au: theoretical powder diffraction line list (Cu Kα X-rays), based on a cell relaxed with PBE.
No peak broadening, texture or thermal motion is included.

Main lines, sorted by position (2θ from 10° to 90°):
2θ (°), I (rel.), hkl
31.08, 56, 1 0 3
31.56, 100, 1 1 2
38.40, 67, 2 0 0
42.88, 26, 1 1 4
45.78, 19, 1 0 5
50.20, 28, 2 1 3
55.44, 22, 2 2 0
57.72, 18, 1 1 6
61.24, 16, 2 1 5
65.21, 24, 3 1 2
81.51, 14, 2 0 8
84.18, 12, 3 1 6

```
data_Ba2Ga4Ag3Au
_space_group_name_H-M_alt 'P -4 m 2'
_space_group_IT_number 115
_space_group_name_Hall 'P -4 -2'
_cell_length_a 4.6879
_cell_length_b 4.6879
_cell_length_c 10.9365
_cell_angle_alpha 90.00
_cell_angle_beta 90.00
_cell_angle_gamma 90.00
loop_
_atom_site_label
_atom_site_type_symbol
_atom_site_fract_x
_atom_site_fract_y
_atom_site_fract_z
Ba1 Ba 0.0000 0.5000 0.2490
Ga1 Ga 0.0000 0.0000 0.0000
Ga2 Ga 0.0000 0.5000 0.6196
Ga3 Ga 0.5000 0.5000 0.0000
Ag1 Ag 0.0000 0.5000 0.8702
Ag2 Ag 0.5000 0.5000 0.5000
Au1 Au 0.0000 0.0000 0.5000
```

2.
ScTa3Ru4: theoretical powder diffraction line list (Cu Kα X-rays), based on a cell relaxed with PBE.
No peak broadening, texture or thermal motion is included.

Main lines, sorted by position (2θ from 10° to 90°):
2θ (°), I (rel.), hkl
19.60, 5, 0 1 0
21.92, 5, 0 1 1
39.72, 26, 0 2 0
39.91, 25, 0 0 4
40.23, 100, 1 1 2
57.57, 17, 0 2 4
58.84, 9, 2 0 0
72.44, 17, 1 3 2
72.69, 17, 1 1 6
73.35, 8, 2 2 0
73.47, 8, 2 0 4
86.92, 11, 2 2 4

```
data_ScTa3Ru4
_space_group_name_H-M_alt 'P m m m'
_space_group_IT_number 47
_space_group_name_Hall '-P 2 2'
_cell_length_a 3.1388
_cell_length_b 4.5386
_cell_length_c 9.0359
_cell_angle_alpha 90.00
_cell_angle_beta 90.00
_cell_angle_gamma 90.00
loop_
_atom_site_label
_atom_site_type_symbol
_atom_site_fract_x
_atom_site_fract_y
_atom_site_fract_z
Sc1 Sc 0.0000 0.0000 0.0000
Ta1 Ta 0.0000 0.0000 0.5000
Ta2 Ta 0.0000 0.5000 0.2481
Ru1 Ru 0.5000 0.0000 0.2572
Ru2 Ru 0.5000 0.5000 0.0000
Ru3 Ru 0.5000 0.5000 0.5000
```

3.
Sc4Al: theoretical powder diffraction line list (Cu Kα X-rays), based on a cell relaxed with PBE.
No peak broadening, texture or thermal motion is included.

Main lines, sorted by position (2θ from 10° to 90°):
2θ (°), I (rel.), hkl
30.78, 16, 0 2 1
34.67, 81, 1 1 1
35.45, 100, 1 5 0
37.30, 34, 0 4 1
37.88, 41, 2 0 0
38.75, 24, 1 3 1
46.43, 16, 0 6 1
54.21, 21, 2 4 1
61.41, 13, 2 6 1
66.56, 11, 1 9 1
66.84, 13, 3 5 0
70.36, 23, 1 5 2

```
data_Sc4Al
_space_group_name_H-M_alt 'C m m m'
_space_group_IT_number 65
_space_group_name_Hall '-C 2 2'
_cell_length_a 4.7505
_cell_length_b 14.9635
_cell_length_c 3.1524
_cell_angle_alpha 90.00
_cell_angle_beta 90.00
_cell_angle_gamma 90.00
loop_
_atom_site_label
_atom_site_type_symbol
_atom_site_fract_x
_atom_site_fract_y
_atom_site_fract_z
Sc1 Sc 0.0000 0.1044 0.0000
Sc2 Sc 0.0000 0.3014 0.5000
Al1 Al 0.0000 0.5000 0.5000
```

4.
Ac2Pr5NdHo: theoretical powder diffraction line list (Cu Kα X-rays), based on a cell relaxed with PBE.
No peak broadening, texture or thermal motion is included.

Main lines, sorted by position (2θ from 10° to 90°):
2θ (°), I (rel.), hkl
25.56, 13, 1 3 2
26.75, 16, 0 6 1
29.01, 37, 1 1 3
30.36, 41, 2 0 0
30.80, 100, 1 5 2
32.57, 13, 0 0 4
40.90, 10, 2 6 1
45.12, 10, 2 0 4
48.92, 12, 0 6 5
54.22, 21, 3 5 2
56.59, 14, 1 11 3
58.67, 15, 2 6 5

```
data_Ac2Pr5NdHo
_space_group_name_H-M_alt 'C m c 21'
_space_group_IT_number 36
_space_group_name_Hall 'C 2c -2'
_cell_length_a 5.8889
_cell_length_b 20.9859
_cell_length_c 10.9976
_cell_angle_alpha 90.00
_cell_angle_beta 90.00
_cell_angle_gamma 90.00
loop_
_atom_site_label
_atom_site_type_symbol
_atom_site_fract_x
_atom_site_fract_y
_atom_site_fract_z
Ac1 Ac 0.0000 0.1139 0.0000
Ac2 Ac 0.0000 0.1173 0.5824
Pr1 Pr 0.0000 0.0179 0.2865
Pr2 Pr 0.0000 0.2807 0.5809
Pr3 Pr 0.0000 0.2928 0.9700
Pr4 Pr 0.0000 0.3844 0.2867
Pr5 Pr 0.0000 0.4848 0.0106
Nd1 Nd 0.0000 0.4073 0.7351
Ho1 Ho 0.0000 0.2052 0.2763
```

5.
Tb7Pr12Y: theoretical powder diffraction line list (Cu Kα X-rays), based on a cell relaxed with PBE.
No peak broadening, texture or thermal motion is included.

Main lines, sorted by position (2θ from 10° to 90°):
2θ (°), I (rel.), hkl
27.65, 16, 0 2 4
28.77, 32, 0 1 5
30.12, 49, 0 3 3
30.78, 100, 1 3 1
31.32, 46, 2 1 4
32.28, 74, 4 -1 2
36.30, 15, 1 1 6
41.35, 15, 4 -1 5
50.39, 13, 1 2 8
51.89, 13, 1 4 6
53.58, 16, 7 -4 2
53.77, 16, 5 2 0

```
data_Tb7Pr12Y
_space_group_name_H-M_alt 'R -3'
_space_group_IT_number 148
_space_group_name_Hall '-R 3'
_cell_length_a 12.2929
_cell_length_b 12.2929
_cell_length_c 16.2219
_cell_angle_alpha 90.00
_cell_angle_beta 90.00
_cell_angle_gamma 120.00
loop_
_atom_site_label
_atom_site_type_symbol
_atom_site_fract_x
_atom_site_fract_y
_atom_site_fract_z
Tb1 Tb 0.0000 0.0000 0.0000
Tb2 Tb 0.0574 0.4693 0.0819
Pr1 Pr 0.0210 0.5724 0.7239
Pr2 Pr 0.0580 0.8701 0.7903
Y1 Y 0.0000 0.0000 0.5000
```

6.
Ca4Ag4Hg3: theoretical powder diffraction line list (Cu Kα X-rays), based on a cell relaxed with PBE.
No peak broadening, texture or thermal motion is included.

Main lines, sorted by position (2θ from 10° to 90°):
2θ (°), I (rel.), hkl
20.52, 31, 0 1 -1
20.63, 32, 0 1 2
24.15, 72, 1 0 0
31.93, 100, 1 1 2
33.02, 45, 1 0 -4
36.11, 47, 0 1 -5
36.34, 46, 0 1 6
38.14, 43, 0 2 1
43.92, 31, 1 -1 5
44.12, 31, 1 1 6
45.66, 27, 1 2 1
49.47, 20, 2 0 0

```
data_Ca4Ag4Hg3
_space_group_name_H-M_alt 'P -1'
_space_group_IT_number 2
_space_group_name_Hall '-P 1'
_cell_length_a 3.6848
_cell_length_b 4.7189
_cell_length_c 16.1860
_cell_angle_alpha 82.02
_cell_angle_beta 89.94
_cell_angle_gamma 89.98
loop_
_atom_site_label
_atom_site_type_symbol
_atom_site_fract_x
_atom_site_fract_y
_atom_site_fract_z
Ca1 Ca 0.0019 0.1859 0.1302
Ca2 Ca 0.0031 0.5605 0.3870
Ag1 Ag 0.4960 0.9048 0.6826
Ag2 Ag 0.4988 0.2708 0.9559
Hg1 Hg 0.4968 0.3576 0.7809
Hg2 Hg 0.5000 0.0000 0.5000
```

7.
La4Tb3Er: theoretical powder diffraction line list (Cu Kα X-rays), based on a cell relaxed with PBE.
No peak broadening, texture or thermal motion is included.

Main lines, sorted by position (2θ from 10° to 90°):
2θ (°), I (rel.), hkl
25.91, 31, 1 1 0
28.39, 52, 8 0 0
28.84, 34, 2 0 -2
29.49, 100, 1 1 -1
31.11, 33, 4 0 -2
31.19, 37, 8 0 -1
31.31, 53, 5 1 0
31.51, 62, 3 1 1
32.36, 65, 8 0 1
34.79, 31, 6 0 -2
35.97, 32, 7 1 0
62.51, 29, 9 1 3

```
data_La4Tb3Er
_space_group_name_H-M_alt 'C 1 2/m 1'
_space_group_IT_number 12
_space_group_name_Hall '-C 2y'
_cell_length_a 25.1775
_cell_length_b 3.4717
_cell_length_c 6.3208
_cell_angle_alpha 90.00
_cell_angle_beta 92.64
_cell_angle_gamma 90.00
loop_
_atom_site_label
_atom_site_type_symbol
_atom_site_fract_x
_atom_site_fract_y
_atom_site_fract_z
La1 La 0.1059 0.0000 0.2418
La2 La 0.2204 0.5000 0.2465
Tb1 Tb 0.0000 0.0000 0.5000
Tb2 Tb 0.1400 0.0000 0.7488
Er1 Er 0.0000 0.5000 0.0000
```

8.
Mg6CoMo: theoretical powder diffraction line list (Cu Kα X-rays), based on a cell relaxed with PBE.
No peak broadening, texture or thermal motion is included.

Main lines, sorted by position (2θ from 10° to 90°):
2θ (°), I (rel.), hkl
16.57, 49, 0 0 2
18.66, 30, 1 0 0
25.06, 24, 1 0 2
35.12, 46, 0 2 2
37.85, 42, 2 0 0
38.61, 69, 1 0 4
40.07, 100, 1 2 2
52.59, 25, 2 2 2
60.94, 19, 0 2 6
69.85, 20, 3 2 2
74.01, 19, 2 2 6
77.34, 19, 1 4 4

```
data_Mg6CoMo
_space_group_name_H-M_alt 'A m m 2'
_space_group_IT_number 38
_space_group_name_Hall 'A 2 -2'
_cell_length_a 4.7544
_cell_length_b 5.8153
_cell_length_c 10.7018
_cell_angle_alpha 90.00
_cell_angle_beta 90.00
_cell_angle_gamma 90.00
loop_
_atom_site_label
_atom_site_type_symbol
_atom_site_fract_x
_atom_site_fract_y
_atom_site_fract_z
Mg1 Mg 0.0000 0.0000 0.0000
Mg2 Mg 0.0000 0.0000 0.4891
Mg3 Mg 0.0000 0.2466 0.7631
Mg4 Mg 0.5000 0.2495 0.1022
Co1 Co 0.5000 0.0000 0.3464
Mo1 Mo 0.5000 0.0000 0.8542
```

9.
Ge3S2Cl2: theoretical powder diffraction line list (Cu Kα X-rays), based on a cell relaxed with PBE.
No peak broadening, texture or thermal motion is included.

Main lines, sorted by position (2θ from 10° to 90°):
2θ (°), I (rel.), hkl
18.52, 100, 0 1 1
25.34, 37, 0 2 0
25.67, 74, 1 1 1
26.41, 99, 2 1 -1
28.56, 66, 2 1 0
35.56, 54, 1 2 -2
37.24, 45, 3 1 -1
38.26, 64, 2 2 -2
38.71, 41, 3 0 0
39.70, 87, 1 1 -3
44.85, 54, 1 3 1
52.69, 44, 3 0 -4

```
data_Ge3S2Cl2
_space_group_name_H-M_alt 'P 1 21/c 1'
_space_group_IT_number 14
_space_group_name_Hall '-P 2ybc'
_cell_length_a 7.7399
_cell_length_b 7.0307
_cell_length_c 7.2605
_cell_angle_alpha 90.00
_cell_angle_beta 115.62
_cell_angle_gamma 90.00
loop_
_atom_site_label
_atom_site_type_symbol
_atom_site_fract_x
_atom_site_fract_y
_atom_site_fract_z
Ge1 Ge 0.0000 0.0000 0.0000
Ge2 Ge 0.3204 0.0461 0.7535
S1 S 0.3720 0.1251 0.1092
Cl1 Cl 0.1021 0.7090 0.8341
```

10.
Ho5In2HgRh2: theoretical powder diffraction line list (Cu Kα X-rays), based on a cell relaxed with PBE.
No peak broadening, texture or thermal motion is included.

Main lines, sorted by position (2θ from 10° to 90°):
2θ (°), I (rel.), hkl
16.94, 12, 2 1 0
29.80, 8, 2 1 1
31.52, 37, 4 1 0
32.68, 18, 2 2 1
34.27, 29, 4 2 0
34.48, 100, 3 1 1
37.03, 33, 3 2 1
49.25, 8, 6 2 0
49.87, 15, 0 0 2
60.21, 14, 4 1 2
61.50, 17, 5 5 1
61.90, 10, 4 2 2

```
data_Ho5In2HgRh2
_space_group_name_H-M_alt 'P 4/m b m'
_space_group_IT_number 127
_space_group_name_Hall '-P 4 2ab'
_cell_length_a 11.7013
_cell_length_b 11.7013
_cell_length_c 3.6575
_cell_angle_alpha 90.00
_cell_angle_beta 90.00
_cell_angle_gamma 90.00
loop_
_atom_site_label
_atom_site_type_symbol
_atom_site_fract_x
_atom_site_fract_y
_atom_site_fract_z
Ho1 Ho 0.0000 0.5000 0.0000
Ho2 Ho 0.0759 0.2041 0.0000
In1 In 0.1745 0.6745 0.5000
Hg1 Hg 0.0000 0.0000 0.5000
Rh1 Rh 0.1321 0.3679 0.5000
```

11.
Y6Ag5: theoretical powder diffraction line list (Cu Kα X-rays), based on a cell relaxed with PBE.
No peak broadening, texture or thermal motion is included.

Main lines, sorted by position (2θ from 10° to 90°):
2θ (°), I (rel.), hkl
11.55, 3, 0 0 2
13.52, 3, 0 1 1
21.27, 2, 0 1 3
35.08, 100, 2 0 0
50.37, 6, 0 4 0
50.49, 11, 2 0 6
62.88, 23, 3 2 3
63.01, 11, 1 2 9
74.09, 9, 4 0 0
84.60, 5, 1 6 3
84.76, 7, 4 0 6
84.88, 2, 2 0 12

```
data_Y6Ag5
_space_group_name_H-M_alt 'I m m m'
_space_group_IT_number 71
_space_group_name_Hall '-I 2 2'
_cell_length_a 5.1192
_cell_length_b 7.2462
_cell_length_c 15.3190
_cell_angle_alpha 90.00
_cell_angle_beta 90.00
_cell_angle_gamma 90.00
loop_
_atom_site_label
_atom_site_type_symbol
_atom_site_fract_x
_atom_site_fract_y
_atom_site_fract_z
Y1 Y 0.0000 0.2478 0.0000
Y2 Y 0.0000 0.2523 0.3366
Ag1 Ag 0.0000 0.0000 0.1704
Ag2 Ag 0.0000 0.0000 0.5000
Ag3 Ag 0.0000 0.5000 0.1690
```

12.
Zr4H5N: theoretical powder diffraction line list (Cu Kα X-rays), based on a cell relaxed with PBE.
No peak broadening, texture or thermal motion is included.

Main lines, sorted by position (2θ from 10° to 90°):
2θ (°), I (rel.), hkl
28.29, 19, 0 1 3
28.51, 24, 1 0 1
31.13, 47, 1 1 0
32.31, 50, 0 0 4
33.73, 100, 0 2 2
35.18, 34, 1 1 2
36.74, 58, 1 0 3
41.48, 60, 1 2 1
58.87, 47, 1 2 5
65.52, 16, 1 0 7
67.33, 26, 2 2 2
73.56, 15, 1 4 3

```
data_Zr4H5N
_space_group_name_H-M_alt 'I m m m'
_space_group_IT_number 71
_space_group_name_Hall '-I 2 2'
_cell_length_a 3.2637
_cell_length_b 6.0569
_cell_length_c 11.0845
_cell_angle_alpha 90.00
_cell_angle_beta 90.00
_cell_angle_gamma 90.00
loop_
_atom_site_label
_atom_site_type_symbol
_atom_site_fract_x
_atom_site_fract_y
_atom_site_fract_z
Zr1 Zr 0.0000 0.0000 0.2131
Zr2 Zr 0.0000 0.2443 0.5000
H1 H 0.0000 0.2891 0.3138
H2 H 0.0000 0.5000 0.0000
N1 N 0.0000 0.0000 0.0000
```